(1)
Computed X-ray powder pattern
Compound: La3Ge3Cl2
Radiation: a wavelength of 1.5418 Å
Structure: a DFT-relaxed cell (GGA-PBE, the Materials Project)

Structure:
Cell lengths 9.3558, 9.3558, 10.8586 Å; angles 98.07, 98.07, 26.77 degrees
Sites, in units of the cell vectors:
La1 0.0320 0.0320 0.3314
La2 0.1168 0.1168 0.9905
La3 0.1837 0.1837 0.6481
La4 0.8163 0.8163 0.3519
La5 0.8832 0.8832 0.0095
La6 0.9680 0.9680 0.6686
Ge1 0.4040 0.4040 0.2184
Ge2 0.4298 0.4298 0.4559
Ge3 0.4758 0.4758 0.8833
Ge4 0.5242 0.5242 0.1167
Ge5 0.5702 0.5702 0.5441
Ge6 0.5960 0.5960 0.7816
Cl1 0.2013 0.2013 0.3736
Cl2 0.2736 0.2736 0.8925
Cl3 0.7264 0.7264 0.1075
Cl4 0.7987 0.7987 0.6264

The 8 most intense peaks (15 to 90 degrees two-theta), sorted by position:
- 29.2 deg, I 32
- 32.3 deg, I 53
- 33.4 deg, I 100
- 34.3 deg, I 75
- 34.8 deg, I 80
- 41.6 deg, I 32
- 41.7 deg, I 55
- 44.0 deg, I 32


(2)
Computed X-ray powder pattern
Compound: NdAl2Ga2
Radiation: a wavelength of 1.5418 Å
Structure: a DFT-relaxed cell (GGA-PBE, the Materials Project)

Structure:
Cell lengths 4.2257, 4.2257, 11.2101 Å; angles 90.00, 90.00, 90.00 degrees
Sites, in units of the cell vectors:
Nd1 0.0000 0.0000 0.0000
Nd2 0.5000 0.5000 0.5000
Al1 0.0000 0.5000 0.2500
Al2 0.0000 0.5000 0.7500
Al3 0.5000 0.0000 0.2500
Al4 0.5000 0.0000 0.7500
Ga1 0.0000 0.0000 0.3882
Ga2 0.0000 0.0000 0.6118
Ga3 0.5000 0.5000 0.1118
Ga4 0.5000 0.5000 0.8882

The 8 most intense peaks (15 to 90 degrees two-theta), sorted by position:
- 15.8 deg, I 34
- 29.9 deg, I 68
- 32.0 deg, I 100
- 34.0 deg, I 86
- 42.8 deg, I 54
- 45.8 deg, I 69
- 54.4 deg, I 45
- 64.5 deg, I 45


(3)
Computed X-ray powder pattern
Compound: Na3LaNbSi2PO12
Radiation: a wavelength of 1.5418 Å
Structure: a DFT-relaxed cell (GGA-PBE, the Materials Project)

Structure:
Cell lengths 9.3413, 9.3413, 9.1918 Å; angles 118.63, 118.63, 60.81 degrees
Sites, in units of the cell vectors:
Na1 0.0538 0.9462 0.5000
Na2 0.3204 0.8458 0.8971
Na3 0.5666 0.7482 0.3006
Na4 0.7482 0.5666 0.8006
Na5 0.8458 0.3204 0.3971
Na6 0.9462 0.0538 0.0000
La1 0.1843 0.6634 0.0341
La2 0.6634 0.1843 0.5341
Nb1 0.4776 0.9941 0.7549
Nb2 0.9941 0.4776 0.2549
Si1 0.0922 0.2705 0.8507
Si2 0.2705 0.0922 0.3507
Si3 0.7758 0.8742 0.1230
Si4 0.8742 0.7758 0.6230
P1 0.3713 0.6184 0.4654
P2 0.6184 0.3713 0.9654
O1 0.0492 0.7505 0.7860
O2 0.0560 0.3233 0.0399
O3 0.0894 0.4439 0.8540
O4 0.1109 0.2827 0.3539
O5 0.2023 0.5636 0.3897
O6 0.2166 0.9436 0.1713
O7 0.2827 0.1109 0.8539
O8 0.3233 0.0560 0.5399
O9 0.3487 0.7871 0.6262
O10 0.3744 0.6582 0.3253
O11 0.4439 0.0894 0.3540
O12 0.4787 0.5407 0.0238
O13 0.5407 0.4787 0.5238
O14 0.5636 0.2023 0.8897
O15 0.5999 0.8729 0.9422
O16 0.6582 0.3744 0.8253
O17 0.6826 0.8427 0.6640
O18 0.7505 0.0492 0.2860
O19 0.7871 0.3487 0.1262
O20 0.8427 0.6826 0.1640
O21 0.8568 0.9257 0.5716
O22 0.8729 0.5999 0.4422
O23 0.9257 0.8568 0.0716
O24 0.9436 0.2166 0.6713

The 8 most intense peaks (15 to 90 degrees two-theta), sorted by position:
- 18.8 deg, I 100
- 19.0 deg, I 48
- 19.3 deg, I 47
- 27.1 deg, I 27
- 30.1 deg, I 47
- 30.4 deg, I 44
- 30.7 deg, I 40
- 32.8 deg, I 83


(4)
Computed X-ray powder pattern
Compound: MgAl
Radiation: a wavelength of 1.5418 Å
Structure: a DFT-relaxed cell (GGA-PBE, the Materials Project)

Structure:
Cell lengths 3.3798, 3.3798, 3.3798 Å; angles 90.00, 90.00, 90.00 degrees
Sites, in units of the cell vectors:
Mg1 0.0000 0.0000 0.0000
Al1 0.5000 0.5000 0.5000

The 4 most intense peaks (15 to 90 degrees two-theta), sorted by position:
- 37.6 deg, I 100
- 54.3 deg, I 17
- 67.9 deg, I 33
- 80.4 deg, I 10


(5)
Computed X-ray powder pattern
Compound: YThC3
Radiation: a wavelength of 1.5418 Å
Structure: a DFT-relaxed cell (GGA-PBE, the Materials Project)

Structure:
Cell lengths 7.2990, 7.2990, 7.2990 Å; angles 109.47, 109.47, 109.47 degrees
Sites, in units of the cell vectors:
Y1 0.0000 0.0963 0.5000
Y2 0.0963 0.5000 0.0000
Y3 0.4037 0.4037 0.4037
Y4 0.5000 0.0000 0.0963
Th1 0.0000 0.5947 0.5000
Th2 0.5000 0.0000 0.5947
Th3 0.5947 0.5000 0.0000
Th4 0.9053 0.9053 0.9053
C1 0.0487 0.7987 0.2500
C2 0.2123 0.9623 0.2500
C3 0.2500 0.0487 0.7987
C4 0.2500 0.2123 0.9623
C5 0.2877 0.5377 0.7500
C6 0.4513 0.7013 0.7500
C7 0.5377 0.7500 0.2877
C8 0.7013 0.7500 0.4513
C9 0.7500 0.2877 0.5377
C10 0.7500 0.4513 0.7013
C11 0.7987 0.2500 0.0487
C12 0.9623 0.2500 0.2123

The 8 most intense peaks (15 to 90 degrees two-theta), sorted by position:
- 21.1 deg, I 33
- 25.9 deg, I 37
- 30.0 deg, I 100
- 33.6 deg, I 89
- 40.0 deg, I 59
- 50.8 deg, I 27
- 55.6 deg, I 63
- 60.1 deg, I 34


(6)
Computed X-ray powder pattern
Compound: NiPS
Radiation: a wavelength of 1.5418 Å
Structure: a DFT-relaxed cell (GGA-PBE, the Materials Project)

Structure:
Cell lengths 5.5362, 5.5362, 5.5362 Å; angles 90.00, 90.00, 90.00 degrees
Sites, in units of the cell vectors:
Ni1 0.0053 0.0053 0.0053
Ni2 0.4947 0.9947 0.5053
Ni3 0.5053 0.4947 0.9947
Ni4 0.9947 0.5053 0.4947
P1 0.1127 0.8873 0.3873
P2 0.3873 0.1127 0.8873
P3 0.6127 0.6127 0.6127
P4 0.8873 0.3873 0.1127
S1 0.1120 0.6120 0.8880
S2 0.3880 0.3880 0.3880
S3 0.6120 0.8880 0.1120
S4 0.8880 0.1120 0.6120

The 8 most intense peaks (15 to 90 degrees two-theta), sorted by position:
- 27.9 deg, I 46
- 32.3 deg, I 100
- 36.3 deg, I 43
- 39.9 deg, I 37
- 46.4 deg, I 55
- 55.0 deg, I 100
- 57.7 deg, I 17
- 62.8 deg, I 20


(7)
Computed X-ray powder pattern
Compound: PdCl2
Radiation: a wavelength of 1.5418 Å
Structure: a DFT-relaxed cell (GGA-PBE, the Materials Project)

Structure:
Cell lengths 5.7901, 4.2800, 6.4668 Å; angles 90.00, 106.97, 90.00 degrees
Sites, in units of the cell vectors:
Pd1 0.0000 0.0000 0.0000
Pd2 0.0000 0.5000 0.5000
Cl1 0.2352 0.2442 0.8090
Cl2 0.2352 0.2558 0.3090
Cl3 0.7648 0.7442 0.6910
Cl4 0.7648 0.7558 0.1910

The 8 most intense peaks (15 to 90 degrees two-theta), sorted by position:
- 16.0 deg, I 100
- 25.3 deg, I 60
- 26.3 deg, I 25
- 27.7 deg, I 45
- 32.3 deg, I 34
- 36.7 deg, I 21
- 37.2 deg, I 20
- 52.0 deg, I 25


What did the fifth record say?
Computed X-ray powder pattern
Compound: YThC3
Radiation: a wavelength of 1.5418 Å
Structure: a DFT-relaxed cell (GGA-PBE, the Materials Project)

Structure:
Cell lengths 7.2990, 7.2990, 7.2990 Å; angles 109.47, 109.47, 109.47 degrees
Sites, in units of the cell vectors:
Y1 0.0000 0.0963 0.5000
Y2 0.0963 0.5000 0.0000
Y3 0.4037 0.4037 0.4037
Y4 0.5000 0.0000 0.0963
Th1 0.0000 0.5947 0.5000
Th2 0.5000 0.0000 0.5947
Th3 0.5947 0.5000 0.0000
Th4 0.9053 0.9053 0.9053
C1 0.0487 0.7987 0.2500
C2 0.2123 0.9623 0.2500
C3 0.2500 0.0487 0.7987
C4 0.2500 0.2123 0.9623
C5 0.2877 0.5377 0.7500
C6 0.4513 0.7013 0.7500
C7 0.5377 0.7500 0.2877
C8 0.7013 0.7500 0.4513
C9 0.7500 0.2877 0.5377
C10 0.7500 0.4513 0.7013
C11 0.7987 0.2500 0.0487
C12 0.9623 0.2500 0.2123

The 8 most intense peaks (15 to 90 degrees two-theta), sorted by position:
- 21.1 deg, I 33
- 25.9 deg, I 37
- 30.0 deg, I 100
- 33.6 deg, I 89
- 40.0 deg, I 59
- 50.8 deg, I 27
- 55.6 deg, I 63
- 60.1 deg, I 34